No. 1
# TmHf2Tc
Theoretical X-ray diffraction stick pattern, Cu Ka. Input: DFT lattice parameters and positions (GGA-PBE).

Peak list (10 most intense, 2θ = 10–90°, by angle)
| 2theta | d_spacing | I (rel.) |
| --- | --- | --- |
| 29.21 | 3.057 | 21 |
| 33.73 | 2.657 | 14 |
| 35.24 | 2.546 | 100 |
| 38.46 | 2.340 | 53 |
| 43.68 | 2.072 | 11 |
| 52.07 | 1.756 | 17 |
| 55.53 | 1.655 | 18 |
| 64.91 | 1.436 | 10 |
| 66.57 | 1.405 | 8 |
| 67.50 | 1.388 | 30 |

Crystal structure
```
TmHf2Tc
1.0
3.3098 0.0000 0.0000
0.0000 3.3098 0.0000
0.0000 0.0000 7.9724
Tm Hf Tc
1 2 1
Cartesian
0.0000 0.0000 0.0000
1.6549 1.6549 2.4503
1.6549 1.6549 5.5221
0.0000 0.0000 3.9862
```



No. 2
# Dy3HoRu8
Theoretical X-ray diffraction stick pattern, Cu Ka. Input: DFT lattice parameters and positions (GGA-PBE).

Peak list (10 most intense, 2θ = 10–90°, by angle)
| 2theta | d_spacing | I (rel.) |
| --- | --- | --- |
| 33.54 | 2.672 | 37 |
| 33.68 | 2.661 | 37 |
| 39.53 | 2.280 | 44 |
| 39.66 | 2.273 | 100 |
| 39.72 | 2.269 | 29 |
| 41.54 | 2.174 | 34 |
| 64.10 | 1.453 | 14 |
| 64.23 | 1.450 | 24 |
| 70.44 | 1.337 | 15 |
| 70.82 | 1.330 | 22 |

Crystal structure
```
Dy3HoRu8
1.0
4.6084 -2.6611 0.0000
4.6084 2.6611 0.0000
-3.0979 0.0000 8.7431
Dy Ho Ru
3 1 8
Cartesian
0.0000 0.0000 0.0000
-0.0107 0.0000 3.2770
3.0594 0.0000 4.3730
3.0487 0.0000 7.6471
-1.5568 0.0000 6.0135
2.2985 1.3310 1.6339
0.7509 1.3326 6.0137
-0.0245 0.0000 8.1916
2.2985 -1.3310 1.6339
4.6035 0.0000 1.6339
0.7509 -1.3326 6.0137
6.1329 0.0000 3.8208
```



No. 3
# LaCdTePH
Theoretical X-ray diffraction stick pattern, Cu Ka. Input: DFT lattice parameters and positions (GGA-PBE).

Peak list (10 most intense, 2θ = 10–90°, by angle)
| 2theta | d_spacing | I (rel.) |
| --- | --- | --- |
| 27.42 | 3.253 | 53 |
| 28.95 | 3.084 | 51 |
| 29.15 | 3.064 | 100 |
| 31.74 | 2.819 | 58 |
| 32.90 | 2.722 | 64 |
| 33.86 | 2.647 | 50 |
| 34.70 | 2.586 | 32 |
| 37.25 | 2.414 | 33 |
| 41.19 | 2.192 | 39 |
| 42.08 | 2.147 | 43 |

Crystal structure
```
LaCdTePH
1.0
4.4355 0.0000 0.0000
0.0728 4.4382 0.0000
0.9035 1.4943 5.7339
La Cd Te P H
1 1 1 1 1
Cartesian
0.0000 0.0000 0.0000
3.0912 4.8467 3.3333
2.2639 2.2600 1.1411
0.8468 3.5909 3.6313
3.1044 1.6630 4.8162
```